Calculated powder XRD pattern
Compound: Sr2LiPdO4
Radiation: Cu Kα, 1.54184 Å
Structure: DFT lattice parameters and positions (GGA-PBE)

Crystal structure
```
data_Sr2LiPdO4
_chemical_formula_sum 'Sr16 Li8 Pd8 O32'
_cell_length_a 4.802
_cell_length_b 11.859
_cell_length_c 16.973
_cell_angle_alpha 90.00
_cell_angle_beta 90.00
_cell_angle_gamma 90.00
_symmetry_space_group_name_H-M 'F d d d'
_symmetry_Int_Tables_number 70
loop_
_symmetry_equiv_pos_as_xyz
'x,y,z'
'-x,-y,-z'
'-x+1/4,-y+1/4,z'
'x+1/4,y+1/4,-z'
'x,-y+1/4,-z+1/4'
'-x,y+1/4,z+1/4'
'-x+1/4,y,-z+1/4'
'x+1/4,-y,z+1/4'
'x,y+1/2,z+1/2'
'-x,-y+1/2,-z+1/2'
'-x+1/4,-y+3/4,z+1/2'
'x+1/4,y+3/4,-z+1/2'
'x,-y+3/4,-z+3/4'
'-x,y+3/4,z+3/4'
'-x+1/4,y+1/2,-z+3/4'
'x+1/4,-y+1/2,z+3/4'
'x+1/2,y,z+1/2'
'-x+1/2,-y,-z+1/2'
'-x+3/4,-y+1/4,z+1/2'
'x+3/4,y+1/4,-z+1/2'
'x+1/2,-y+1/4,-z+3/4'
'-x+1/2,y+1/4,z+3/4'
'-x+3/4,y,-z+3/4'
'x+3/4,-y,z+3/4'
'x+1/2,y+1/2,z'
'-x+1/2,-y+1/2,-z'
'-x+3/4,-y+3/4,z'
'x+3/4,y+3/4,-z'
'x+1/2,-y+3/4,-z+1/4'
'-x+1/2,y+3/4,z+1/4'
'-x+3/4,y+1/2,-z+1/4'
'x+3/4,-y+1/2,z+1/4'
loop_
_atom_site_label
_atom_site_fract_x
_atom_site_fract_y
_atom_site_fract_z
Sr1 0.125 0.125 0.301
Li1 0.125 0.125 0.125
Pd1 0.125 0.125 0.625
O1 0.111 0.253 0.413
```

Principal peaks in the range 2θ = 10–80°, in order of rising 2θ:
2θ/deg  I/Imax  (hkl)
20.94  16  0 0 4
25.46  100  1 1 3
30.14  27  0 4 0
33.36  83  1 3 3
35.15  57  0 2 6
40.53  41  2 2 0
45.57  33  1 5 3
49.81  20  2 0 6
52.71  19  1 1 9
56.83  14  0 6 6
59.33  26  2 4 6
60.66  23  2 6 0